No. 1
KZn2GePt: theoretical XRD peak list (Cu Ka), based on a DFT-relaxed cell (PBE, Alexandria).
No peak broadening, texture or thermal motion is included.

Top 8 peaks for 2θ = 10–80°, in order of falling intensity:
| Position (°2θ) | intensity |
| --- | --- |
| 17.79 | 100 |
| 36.02 | 71 |
| 52.51 | 47 |
| 18.20 | 44 |
| 25.56 | 42 |
| 36.89 | 33 |
| 40.45 | 26 |
| 41.24 | 25 |

Atomic structure:
Cell lengths 4.9862, 4.9862, 4.8732 Å; angles 90.00, 90.00, 90.00 degrees
Atoms (fractional coordinates):
K 0.0000 0.0000 0.0000
Zn 0.0000 0.5000 0.5000
Zn 0.5000 0.0000 0.5000
Ge 0.5000 0.5000 0.0000
Pt 0.5000 0.5000 0.5000


No. 2
Li2Ca6Ga: theoretical XRD peak list (Cu Ka), based on a DFT-relaxed cell (PBE, Alexandria).
No peak broadening, texture or thermal motion is included.

Top 8 peaks for 2θ = 10–80°, in order of falling intensity:
| Position (°2θ) | intensity |
| --- | --- |
| 30.81 | 100 |
| 33.08 | 25 |
| 32.97 | 24 |
| 10.85 | 19 |
| 18.51 | 17 |
| 47.40 | 16 |
| 57.68 | 15 |
| 57.53 | 14 |

Atomic structure:
Cell lengths 10.5248, 8.5886, 7.1883 Å; angles 83.18, 54.12, 42.70 degrees
Atoms (fractional coordinates):
Li 0.1687 0.1687 0.8313
Li 0.8313 0.8313 0.1687
Ca 0.1366 0.8634 0.1366
Ca 0.1955 0.4835 0.5165
Ca 0.4835 0.1955 0.8045
Ca 0.5165 0.8045 0.1955
Ca 0.8045 0.5165 0.4835
Ca 0.8634 0.1366 0.8634
Ga 0.5000 0.5000 0.5000


No. 3
Ac3Pm6Dy2: theoretical XRD peak list (Cu Ka), based on a DFT-relaxed cell (PBE, Alexandria).
No peak broadening, texture or thermal motion is included.

Top 8 peaks for 2θ = 10–80°, in order of falling intensity:
| Position (°2θ) | intensity |
| --- | --- |
| 29.29 | 100 |
| 34.05 | 65 |
| 29.64 | 29 |
| 58.05 | 27 |
| 48.70 | 25 |
| 49.15 | 20 |
| 57.84 | 15 |
| 60.75 | 12 |

Atomic structure:
Cell lengths 33.2277, 33.2277, 33.2277 Å; angles 6.45, 6.45, 6.45 degrees
Atoms (fractional coordinates):
Ac 0.0000 0.0000 0.0000
Ac 0.2709 0.2709 0.2709
Ac 0.7291 0.7291 0.7291
Pm 0.0939 0.0939 0.0939
Pm 0.1815 0.1815 0.1815
Pm 0.3645 0.3645 0.3645
Pm 0.6355 0.6355 0.6355
Pm 0.8185 0.8185 0.8185
Pm 0.9061 0.9061 0.9061
Dy 0.4562 0.4562 0.4562
Dy 0.5438 0.5438 0.5438


No. 4
Ho2In3: theoretical XRD peak list (Cu Ka), based on a DFT-relaxed cell (PBE, Alexandria).
No peak broadening, texture or thermal motion is included.

Top 8 peaks for 2θ = 10–80°, in order of falling intensity:
| Position (°2θ) | intensity |
| --- | --- |
| 33.05 | 100 |
| 37.85 | 33 |
| 65.33 | 24 |
| 55.72 | 21 |
| 39.32 | 16 |
| 67.33 | 12 |
| 54.61 | 10 |
| 69.34 | 10 |

Atomic structure:
Cell lengths 7.5160, 7.5160, 4.5826 Å; angles 90.00, 90.00, 90.00 degrees
Atoms (fractional coordinates):
Ho 0.1263 0.6959 0.0000
Ho 0.3041 0.1263 0.0000
Ho 0.6959 0.8737 0.0000
Ho 0.8737 0.3041 0.0000
In 0.0000 0.0000 0.5000
In 0.1859 0.3985 0.5000
In 0.3985 0.8141 0.5000
In 0.5000 0.5000 0.0000
In 0.6015 0.1859 0.5000
In 0.8141 0.6015 0.5000


No. 5
NbCdCu: theoretical XRD peak list (Cu Ka), based on a DFT-relaxed cell (PBE, Alexandria).
No peak broadening, texture or thermal motion is included.

Top 8 peaks for 2θ = 10–80°, in order of falling intensity:
| Position (°2θ) | intensity |
| --- | --- |
| 39.12 | 100 |
| 39.27 | 99 |
| 37.79 | 54 |
| 41.31 | 44 |
| 56.03 | 17 |
| 69.57 | 17 |
| 71.95 | 16 |
| 57.00 | 15 |

Atomic structure:
Cell lengths 4.3712, 3.2824, 7.4540 Å; angles 90.00, 106.64, 90.00 degrees
Atoms (fractional coordinates):
Nb 0.0000 0.0000 0.0000
Nb 0.5000 0.5000 0.0000
Cd 0.1778 0.5000 0.3567
Cd 0.8222 0.5000 0.6433
Cu 0.3477 0.0000 0.6932
Cu 0.6523 0.0000 0.3068


No. 6
UTc2B: theoretical XRD peak list (Cu Ka), based on a DFT-relaxed cell (PBE, Alexandria).
No peak broadening, texture or thermal motion is included.

Top 8 peaks for 2θ = 10–80°, in order of falling intensity:
| Position (°2θ) | intensity |
| --- | --- |
| 39.15 | 100 |
| 30.02 | 47 |
| 39.39 | 45 |
| 41.35 | 43 |
| 37.30 | 39 |
| 40.96 | 38 |
| 66.97 | 31 |
| 59.90 | 23 |

Atomic structure:
Cell lengths 5.3339, 5.3339, 7.3286 Å; angles 90.00, 90.00, 146.33 degrees
Atoms (fractional coordinates):
U 0.0549 0.9451 0.7500
U 0.9451 0.0549 0.2500
Tc 0.3519 0.6481 0.5478
Tc 0.3519 0.6481 0.9522
Tc 0.6481 0.3519 0.0478
Tc 0.6481 0.3519 0.4522
B 0.2258 0.7742 0.2500
B 0.7742 0.2258 0.7500


No. 7
KHoBeF6: theoretical XRD peak list (Cu Ka), based on a DFT-relaxed cell (PBE, Alexandria).
No peak broadening, texture or thermal motion is included.

Top 8 peaks for 2θ = 10–80°, in order of falling intensity:
| Position (°2θ) | intensity |
| --- | --- |
| 28.48 | 100 |
| 20.39 | 94 |
| 15.78 | 84 |
| 29.73 | 78 |
| 15.01 | 50 |
| 21.41 | 43 |
| 27.86 | 39 |
| 41.44 | 38 |

Atomic structure:
Cell lengths 6.4174, 5.8367, 7.1169 Å; angles 90.00, 113.14, 90.00 degrees
Atoms (fractional coordinates):
K 0.0720 0.2500 0.2027
K 0.9280 0.7500 0.7973
Ho 0.3901 0.2500 0.8224
Ho 0.6099 0.7500 0.1776
Be 0.2316 0.7500 0.4626
Be 0.7684 0.2500 0.5374
F 0.0075 0.7500 0.2648
F 0.2363 0.5336 0.5943
F 0.2363 0.9664 0.5943
F 0.3197 0.5020 0.0329
F 0.3197 0.9980 0.0329
F 0.4391 0.7500 0.4042
F 0.5609 0.2500 0.5958
F 0.6803 0.0020 0.9671
F 0.6803 0.4980 0.9671
F 0.7637 0.0336 0.4057
F 0.7637 0.4664 0.4057
F 0.9925 0.2500 0.7352